Structure and computed X-ray diffraction stick pattern of LiTi2Zn2P2O10 (the PBE geometry in Alexandria; Cu Kα (weighted mean of Kα1 and Kα2)).
Kinematic intensities with the Lorentz-polarization factor, no thermal factor.

Structural model:
```
data_LiTi2Zn2P2O10
_space_group_name_H-M_alt 'P 1'
_space_group_IT_number 1
_cell_length_a 5.610
_cell_length_b 5.697
_cell_length_c 7.238
_cell_angle_alpha 109.16
_cell_angle_beta 108.76
_cell_angle_gamma 93.62
loop_
_space_group_symop_operation_xyz
'x,y,z'
loop_
_atom_site_label
_atom_site_fract_x
_atom_site_fract_y
_atom_site_fract_z
_atom_site_occupancy
Li1 0.000 0.000 0.000 1
Ti1 0.080 0.526 0.768 1
Ti2 0.111 0.549 0.266 1
Zn1 0.411 0.236 0.499 1
Zn2 0.638 0.679 0.018 1
P1 0.490 0.177 0.028 1
P2 0.727 0.899 0.519 1
O1 0.183 0.463 0.522 1
O2 0.358 0.267 0.194 1
O3 0.390 0.885 0.917 1
O4 0.400 0.322 0.874 1
O5 0.424 0.857 0.426 1
O6 0.784 0.225 0.116 1
O7 0.790 0.198 0.612 1
O8 0.824 0.784 0.338 1
O9 0.832 0.793 0.691 1
O10 0.980 0.662 0.019 1
```

Top 12 peaks for 2θ = 10–80°, sorted by position:
2theta  d [Å]  I_rel  hkl
17.41  5.094  23  0 1 -1
23.04  3.860  24  1 1 -1
26.17  3.405  87  1 1 0
26.83  3.323  25  0 1 -2
26.99  3.304  100  1 0 -2
28.01  3.185  20  0 0 2
35.26  2.545  18  0 2 -2
35.38  2.537  50  2 -1 0
35.62  2.520  25  1 -1 2
37.86  2.376  21  2 1 -2
41.10  2.196  20  1 2 0
53.16  1.723  19  -3 1 2

Structure and computed X-ray diffraction stick pattern of Ca6FeP5 (the PBE geometry in Alexandria; Cu Kα (weighted mean of Kα1 and Kα2)).
Kinematic intensities with the Lorentz-polarization factor, no thermal factor.

Structural model:
```
data_Ca6FeP5
_space_group_name_H-M_alt 'P 63/m c m'
_space_group_IT_number 193
_space_group_name_Hall '-P 6c 2'
_cell_length_a 7.1791
_cell_length_b 7.1791
_cell_length_c 14.2963
_cell_angle_alpha 90.00
_cell_angle_beta 90.00
_cell_angle_gamma 120.00
loop_
_atom_site_label
_atom_site_fract_x
_atom_site_fract_y
_atom_site_fract_z
_atom_site_occupancy
Ca1 0.0000 0.3763 0.1209 1
Fe1 0.0000 0.0000 0.2500 1
P1 0.0000 0.3022 0.7500 1
P2 0.3333 0.6667 0.0000 1
```

Top 12 peaks for 2θ = 10–80°, sorted by position:
2theta  d [Å]  I_rel  hkl
12.38  7.148  18  0 0 2
18.92  4.691  74  1 0 2
25.59  3.481  12  1 1 1
28.77  3.103  24  2 0 0
31.20  2.867  100  1 1 3
35.44  2.533  49  1 1 4
38.84  2.319  15  2 1 1
40.35  2.235  47  1 1 5
43.68  2.072  55  3 0 0
51.11  1.787  15  0 0 8
54.64  1.680  12  2 2 3
69.45  1.353  25  3 0 8

Structure and computed X-ray diffraction stick pattern of LaP5 (the PBE geometry in Alexandria; Cu Kα (weighted mean of Kα1 and Kα2)).
Kinematic intensities with the Lorentz-polarization factor, no thermal factor.

Structural model:
```
data_LaP5
_space_group_name_H-M_alt 'P 1 21/m 1'
_space_group_IT_number 11
_cell_length_a 5.594
_cell_length_b 9.733
_cell_length_c 9.810
_cell_angle_alpha 90.00
_cell_angle_beta 105.38
_cell_angle_gamma 90.00
loop_
_space_group_symop_operation_xyz
'x,y,z'
'-x,-y,-z'
'-x,y+1/2,-z'
'x,-y+1/2,z'
loop_
_atom_site_label
_atom_site_fract_x
_atom_site_fract_y
_atom_site_fract_z
_atom_site_occupancy
La1 0.095 0.250 0.456 1
La2 0.150 0.250 0.997 1
P1 0.073 0.535 0.837 1
P2 0.147 0.544 0.371 1
P3 0.408 0.750 0.138 1
P4 0.440 0.581 0.811 1
P5 0.459 0.750 0.661 1
P6 0.486 0.597 0.313 1
```

Top 12 peaks for 2θ = 10–80°, sorted by position:
2theta  d [Å]  I_rel  hkl
18.23  4.867  32  0 2 0
18.80  4.721  45  1 1 0
23.34  3.811  68  1 1 -2
26.28  3.392  89  0 2 2
28.24  3.160  100  1 0 2
32.20  2.780  34  1 3 0
33.50  2.675  46  0 3 2
34.51  2.599  43  2 1 0
34.88  2.572  25  2 1 -2
38.42  2.343  25  1 1 -4
43.65  2.074  28  2 3 0
43.95  2.060  36  2 3 -2